Record 1
The following is a calculated powder X-ray diffraction pattern of CaCeRh2. It was derived from DFT lattice parameters and positions (PBE), using Cu Kα.
No peak broadening, texture or thermal motion is included.

Cell and atoms:
Unit cell a=6.9108 b=6.9108 c=6.9108 alpha=90.00 beta=90.00 gamma=90.00
Space group Fm-3m (No. 225)
Inequivalent atoms, fractional coordinates:
1 Ca 0.0000 0.0000 0.0000 x4
2 Ce 0.0000 0.0000 0.5000 x4
3 Rh 0.2500 0.2500 0.2500 x8

Most intense lines, 2θ = 5–70°, most intense first:
(hkl)	2θ/deg	I (rel.)
2 2 0	36.78	100
4 2 2	66.25	34
4 0 0	53.00	17
1 1 1	22.28	14
3 1 1	43.43	8
3 3 1	58.19	3
2 0 0	25.78	1

=====

Record 2
The following is a calculated powder X-ray diffraction pattern of SrAs3. It was derived from DFT lattice parameters and positions (PBE), using Cu Kα.
No peak broadening, texture or thermal motion is included.

Cell and atoms:
Unit cell a=9.7449 b=7.7486 c=5.9535 alpha=90.00 beta=112.91 gamma=90.00
Space group C2/m (No. 12)
Inequivalent atoms, fractional coordinates:
1 Sr 0.1646 0.0000 0.3322 x4
2 As 0.0051 0.5000 0.2149 x4
3 As 0.1382 0.2313 0.8047 x8

Most intense lines, 2θ = 5–70°, most intense first:
(hkl)	2θ/deg	I (rel.)
2 2 -1	30.70	100
3 1 0	32.07	44
0 0 2	32.66	35
2 0 -2	30.90	27
2 2 1	38.31	23
0 4 0	46.90	21
1 1 1	24.89	19
1 3 1	41.52	15
4 2 0	46.78	13
2 2 -3	51.77	13

=====

Record 3
The following is a calculated powder X-ray diffraction pattern of Te2MoWS2. It was derived from DFT lattice parameters and positions (PBE), using Cu Kα.
No peak broadening, texture or thermal motion is included.

Cell and atoms:
Unit cell a=3.3610 b=3.3610 c=40.1948 alpha=90.00 beta=90.00 gamma=120.00
Space group P3m1 (No. 156)
Inequivalent atoms, fractional coordinates:
1 Te 0.0000 0.0000 0.0000 x1
2 Te 0.0000 0.0000 0.0940 x1
3 Te 0.6667 0.3333 0.1918 x1
4 Te 0.6667 0.3333 0.2864 x1
5 Mo 0.6667 0.3333 0.0470 x1
6 Mo 0.6667 0.3333 0.4252 x1
7 W 0.0000 0.0000 0.2391 x1
8 W 0.0000 0.0000 0.6128 x1
9 S 0.0000 0.0000 0.3876 x1
10 S 0.0000 0.0000 0.4628 x1
11 S 0.6667 0.3333 0.5751 x1
12 S 0.6667 0.3333 0.6506 x1

Most intense lines, 2θ = 5–70°, most intense first:
(hkl)	2θ/deg	I (rel.)
0 0 5	11.01	100
0 1 8	35.65	73
0 0 3	6.60	54
0 1 13	42.66	47
1 0 0	30.74	37
1 1 0	54.62	26
0 0 6	13.22	20
2 0 8	66.95	14
1 0 5	32.72	14
1 0 14	44.32	13

=====

Record 4
The following is a calculated powder X-ray diffraction pattern of MgO. It was derived from DFT lattice parameters and positions (PBE), using Cu Kα.
No peak broadening, texture or thermal motion is included.

Cell and atoms:
Unit cell a=2.9380 b=2.9380 c=2.6797 alpha=90.00 beta=90.00 gamma=120.00
Space group P-6m2 (No. 187)
Inequivalent atoms, fractional coordinates:
1 Mg 0.0000 0.0000 0.0000 x1
2 O 0.3333 0.6667 0.5000 x1

Most intense lines, 2θ = 5–70°, most intense first:
(hkl)	2θ/deg	I (rel.)
1 0 1	49.39	100
1 0 0	35.27	55
1 1 0	63.31	27
0 0 1	33.44	3

=====

Record 5
The following is a calculated powder X-ray diffraction pattern of KAg3S2. It was derived from DFT lattice parameters and positions (PBE), using Cu Kα.
No peak broadening, texture or thermal motion is included.

Cell and atoms:
Unit cell a=13.3454 b=13.3454 c=13.3454 alpha=90.00 beta=90.00 gamma=90.00
Space group Fd-3m (No. 227, origin choice 2)
Inequivalent atoms, fractional coordinates:
1 K 0.0000 0.0000 0.0000 x16
2 Ag 0.0353 0.3750 0.8750 x48
3 S 0.0038 0.0038 0.2462 x32

Most intense lines, 2θ = 5–70°, most intense first:
(hkl)	2θ/deg	I (rel.)
1 1 1	11.48	100
3 3 3	34.93	70
4 2 2	32.88	66
3 3 1	29.17	57
6 2 0	42.86	33
6 6 0	58.70	29
4 4 4	47.18	27
7 5 1	60.04	17
7 1 1	48.73	15
5 3 3	44.52	13

=====

Record 6
The following is a calculated powder X-ray diffraction pattern of PrGa3Ni. It was derived from DFT lattice parameters and positions (PBE), using Cu Kα.
No peak broadening, texture or thermal motion is included.

Cell and atoms:
Unit cell a=4.1840 b=4.1840 c=10.5193 alpha=90.00 beta=90.00 gamma=90.00
Space group I-4m2 (No. 119)
Inequivalent atoms, fractional coordinates:
1 Pr 0.0000 0.0000 0.0000 x2
2 Ga 0.0000 0.0000 0.3801 x4
3 Ga 0.0000 0.5000 0.2500 x2
4 Ni 0.0000 0.5000 0.7500 x2

Most intense lines, 2θ = 5–70°, most intense first:
(hkl)	2θ/deg	I (rel.)
1 1 2	34.79	100
1 0 3	33.34	74
2 0 0	43.25	59
2 1 3	55.68	34
1 0 5	48.43	32
2 1 5	66.92	23
1 1 0	30.21	19
2 2 0	62.82	19
1 1 6	61.48	14
1 1 4	46.18	11

=====

Record 7
The following is a calculated powder X-ray diffraction pattern of Ba3LaCl9. It was derived from DFT lattice parameters and positions (PBE), using Cu Kα.
No peak broadening, texture or thermal motion is included.

Cell and atoms:
Unit cell a=7.7037 b=7.1830 c=29.9389 alpha=90.00 beta=92.10 gamma=90.00
Space group Pc (No. 7)
Inequivalent atoms, fractional coordinates:
1 Ba 0.0000 0.0048 0.0000 x2
2 Ba 0.4695 0.4852 0.2614 x2
3 Ba 0.5062 0.4757 0.4999 x2
4 Ba 0.5683 0.0138 0.3838 x2
5 Ba 0.5999 0.0104 0.6221 x2
6 Ba 0.9711 0.0266 0.2589 x2
7 La 0.0799 0.4799 0.3853 x2
8 La 0.1052 0.4560 0.6250 x2
9 Cl 0.1277 0.4027 0.9825 x2
10 Cl 0.1340 0.3355 0.8014 x2
11 Cl 0.1782 0.2995 0.1977 x2
12 Cl 0.2633 0.2091 0.3242 x2
13 Cl 0.2693 0.1900 0.4389 x2
14 Cl 0.2793 0.1958 0.5649 x2
15 Cl 0.3475 0.2471 0.6812 x2
16 Cl 0.4061 0.3574 0.0933 x2
17 Cl 0.4309 0.3966 0.8945 x2
18 Cl 0.6089 0.1053 0.9932 x2
19 Cl 0.6312 0.1469 0.7911 x2
20 Cl 0.6875 0.2357 0.2022 x2
21 Cl 0.7989 0.3202 0.3257 x2
22 Cl 0.8041 0.3075 0.4393 x2
23 Cl 0.8178 0.3012 0.5646 x2
24 Cl 0.8767 0.2563 0.6801 x2
25 Cl 0.9338 0.1627 0.8963 x2
26 Cl 0.9369 0.2146 0.0925 x2

Most intense lines, 2θ = 5–70°, most intense first:
(hkl)	2θ/deg	I (rel.)
1 1 -4	20.42	100
1 1 4	20.91	94
0 2 8	34.62	63
2 2 0	34.14	37
3 1 0	37.21	35
1 3 4	41.44	30
1 1 0	16.88	29
2 0 8	34.03	25
0 0 8	23.79	23
1 1 12	40.43	22

=====

Record 8
The following is a calculated powder X-ray diffraction pattern of Nd2P3Rh3. It was derived from DFT lattice parameters and positions (PBE), using Cu Kα.
No peak broadening, texture or thermal motion is included.

Cell and atoms:
Unit cell a=2.9027 b=2.9027 c=19.7815 alpha=90.00 beta=90.00 gamma=90.00
Space group P4/mmm (No. 123)
Inequivalent atoms, fractional coordinates:
1 Nd 0.0000 0.0000 0.2462 x2
2 P 0.0000 0.0000 0.0000 x1
3 P 0.0000 0.0000 0.3876 x2
4 Rh 0.0000 0.0000 0.1073 x2
5 Rh 0.0000 0.0000 0.5000 x1

Most intense lines, 2θ = 5–70°, most intense first:
(hkl)	2θ/deg	I (rel.)
1 0 0	30.80	100
1 0 8	48.35	41
1 1 0	44.12	36
0 0 8	36.33	24
1 1 8	58.44	23
1 0 6	41.45	17
0 0 3	13.43	17
0 0 6	27.05	14
0 0 2	8.94	13
2 0 0	64.17	12

=====

What did the fourth record say?
The following is a calculated powder X-ray diffraction pattern of MgO. It was derived from DFT lattice parameters and positions (PBE), using Cu Kα.
No peak broadening, texture or thermal motion is included.

Cell and atoms:
Unit cell a=2.9380 b=2.9380 c=2.6797 alpha=90.00 beta=90.00 gamma=120.00
Space group P-6m2 (No. 187)
Inequivalent atoms, fractional coordinates:
1 Mg 0.0000 0.0000 0.0000 x1
2 O 0.3333 0.6667 0.5000 x1

Most intense lines, 2θ = 5–70°, most intense first:
(hkl)	2θ/deg	I (rel.)
1 0 1	49.39	100
1 0 0	35.27	55
1 1 0	63.31	27
0 0 1	33.44	3